Simulated X-ray diffraction stick pattern
Compound: Pd3N
Radiation: Cu Kα
Structure: a structure optimized by DFT (GGA-PBE)
Lines closer than 0.1° are merged.

Largest 10 diffraction maxima, by angle, 10° ≤ 2θ ≤ 90°:
Position (°2θ)	d_spacing	I_rel
34.73	2.583	20
37.73	2.384	24
39.68	2.271	100
52.21	1.752	17
62.25	1.491	18
69.42	1.354	19
75.13	1.264	18
76.39	1.247	14
80.58	1.192	3
85.50	1.136	4

Atomic structure:
Cell lengths 5.6249, 5.6249, 5.6249 Å; angles 54.68, 54.68, 54.68 degrees
Fractional positions:
Pd1 0.0860 0.7500 0.4140
Pd2 0.2500 0.5860 0.9140
Pd3 0.4140 0.0860 0.7500
Pd4 0.5860 0.9140 0.2500
Pd5 0.7500 0.4140 0.0860
Pd6 0.9140 0.2500 0.5860
N1 0.0000 0.0000 0.0000
N2 0.5000 0.5000 0.5000